Diffraction record for BeZn2Te. The PXRD pattern is theoretical, not measured: it uses a DFT-relaxed cell (PBE, Alexandria) and Cu Kα X-rays.
Peak positions follow from Bragg's law for the DFT cell and can differ from measured ones.

Structural model:
Unit cell a=8.070 b=8.070 c=8.070 alpha=23.50 beta=23.50 gamma=23.50
Sites, in units of the cell vectors:
Be (0.000, 0.000, 0.000)
Zn (0.267, 0.267, 0.267)
Zn (0.733, 0.733, 0.733)
Te (0.500, 0.500, 0.500)

Principal peaks in the range 2θ from 15° to 90°, sorted by position:
d = 2.826 Å, rel. 34
d = 2.614 Å, rel. 29
d = 2.562 Å, rel. 100
d = 2.435 Å, rel. 47
d = 2.045 Å, rel. 38
d = 1.643 Å, rel. 28
d = 1.527 Å, rel. 19
d = 1.391 Å, rel. 23



Diffraction record for Ho3Lu. The PXRD pattern is theoretical, not measured: it uses a DFT-relaxed cell (PBE, Alexandria) and Cu Kα X-rays.
Peak positions follow from Bragg's law for the DFT cell and can differ from measured ones.

Structural model:
Unit cell a=4.948 b=4.948 c=4.948 alpha=90.00 beta=90.00 gamma=90.00
Sites, in units of the cell vectors:
Ho (0.000, 0.000, 0.500)
Ho (0.000, 0.500, 0.000)
Ho (0.500, 0.000, 0.000)
Lu (0.500, 0.500, 0.500)

Principal peaks in the range 2θ from 15° to 90°, sorted by position:
d = 2.857 Å, rel. 100
d = 2.474 Å, rel. 51
d = 1.750 Å, rel. 36
d = 1.492 Å, rel. 43
d = 1.428 Å, rel. 12
d = 1.237 Å, rel. 6
d = 1.135 Å, rel. 18
d = 1.106 Å, rel. 17



Diffraction record for YMgSnH. The PXRD pattern is theoretical, not measured: it uses a DFT-relaxed cell (PBE, Alexandria) and Cu Kα X-rays.
Peak positions follow from Bragg's law for the DFT cell and can differ from measured ones.

Structural model:
Unit cell a=4.305 b=4.305 c=8.324 alpha=90.00 beta=90.00 gamma=90.00
Sites, in units of the cell vectors:
Y (0.250, 0.250, 0.120)
Y (0.750, 0.750, 0.880)
Mg (0.250, 0.750, 0.500)
Mg (0.750, 0.250, 0.500)
Sn (0.250, 0.250, 0.732)
Sn (0.750, 0.750, 0.268)
H (0.250, 0.750, 0.000)
H (0.750, 0.250, 0.000)

Principal peaks in the range 2θ from 15° to 90°, sorted by position:
d = 3.824 Å, rel. 34
d = 3.044 Å, rel. 100
d = 2.992 Å, rel. 78
d = 2.457 Å, rel. 64
d = 2.332 Å, rel. 97
d = 2.153 Å, rel. 64
d = 1.747 Å, rel. 31
d = 1.582 Å, rel. 58



Diffraction record for LiSi2Ag8O8. The PXRD pattern is theoretical, not measured: it uses a DFT-relaxed cell (PBE, Alexandria) and Cu Kα X-rays.
Peak positions follow from Bragg's law for the DFT cell and can differ from measured ones.

Structural model:
Unit cell a=6.091 b=5.787 c=8.291 alpha=90.00 beta=93.62 gamma=90.00
Sites, in units of the cell vectors:
Li (0.000, 0.000, 0.000)
Si (0.000, 0.570, 0.500)
Si (0.500, 0.044, 0.000)
Ag (0.150, 0.064, 0.657)
Ag (0.188, 0.548, 0.123)
Ag (0.338, 0.957, 0.339)
Ag (0.346, 0.545, 0.803)
Ag (0.654, 0.545, 0.197)
Ag (0.662, 0.957, 0.661)
Ag (0.812, 0.548, 0.877)
Ag (0.850, 0.064, 0.343)
O (0.008, 0.409, 0.335)
O (0.227, 0.730, 0.525)
O (0.276, 0.889, 0.950)
O (0.441, 0.204, 0.159)
O (0.559, 0.204, 0.841)
O (0.724, 0.889, 0.050)
O (0.773, 0.730, 0.475)
O (0.992, 0.409, 0.665)

Principal peaks in the range 2θ from 15° to 90°, sorted by position:
d = 4.743 Å, rel. 65
d = 4.137 Å, rel. 14
d = 2.894 Å, rel. 49
d = 2.602 Å, rel. 16
d = 2.527 Å, rel. 32
d = 2.517 Å, rel. 100
d = 2.490 Å, rel. 67
d = 1.903 Å, rel. 28



Diffraction record for Nd2Fe2Ni15. The PXRD pattern is theoretical, not measured: it uses a DFT-relaxed cell (PBE, Alexandria) and Cu Kα X-rays.
Peak positions follow from Bragg's law for the DFT cell and can differ from measured ones.

Structural model:
Unit cell a=6.321 b=6.321 c=6.321 alpha=82.87 beta=82.87 gamma=82.87
Sites, in units of the cell vectors:
Nd (0.157, 0.157, 0.157)
Nd (0.843, 0.843, 0.843)
Fe (0.406, 0.406, 0.406)
Fe (0.594, 0.594, 0.594)
Ni (0.000, 0.500, 0.500)
Ni (0.158, 0.158, 0.651)
Ni (0.158, 0.651, 0.158)
Ni (0.207, 0.500, 0.793)
Ni (0.207, 0.793, 0.500)
Ni (0.349, 0.842, 0.842)
Ni (0.500, 0.000, 0.500)
Ni (0.500, 0.207, 0.793)
Ni (0.500, 0.500, 0.000)
Ni (0.500, 0.793, 0.207)
Ni (0.651, 0.158, 0.158)
Ni (0.793, 0.207, 0.500)
Ni (0.793, 0.500, 0.207)
Ni (0.842, 0.349, 0.842)
Ni (0.842, 0.842, 0.349)

Principal peaks in the range 2θ from 15° to 90°, sorted by position:
d = 2.920 Å, rel. 33
d = 2.415 Å, rel. 37
d = 2.337 Å, rel. 25
d = 2.092 Å, rel. 59
d = 2.078 Å, rel. 100
d = 2.039 Å, rel. 46
d = 1.861 Å, rel. 26
d = 1.460 Å, rel. 25



Diffraction record for SmZr4O9. The PXRD pattern is theoretical, not measured: it uses a DFT-relaxed cell (PBE, Alexandria) and Cu Kα X-rays.
Peak positions follow from Bragg's law for the DFT cell and can differ from measured ones.

Structural model:
Unit cell a=9.945 b=9.945 c=9.945 alpha=159.31 beta=37.22 gamma=149.41
Sites, in units of the cell vectors:
Sm (0.000, 0.000, 0.000)
Zr (0.229, 0.032, 0.197)
Zr (0.423, 0.033, 0.390)
Zr (0.642, 0.033, 0.610)
Zr (0.835, 0.032, 0.803)
O (0.079, 0.779, 0.300)
O (0.182, 0.280, 0.902)
O (0.378, 0.280, 0.098)
O (0.479, 0.779, 0.700)
O (0.577, 0.280, 0.297)
O (0.611, 0.111, 0.500)
O (0.673, 0.779, 0.893)
O (0.886, 0.779, 0.107)
O (0.983, 0.280, 0.703)

Principal peaks in the range 2θ from 15° to 90°, sorted by position:
d = 3.062 Å, rel. 95
d = 2.953 Å, rel. 100
d = 2.623 Å, rel. 19
d = 2.593 Å, rel. 32
d = 1.885 Å, rel. 18
d = 1.844 Å, rel. 69
d = 1.588 Å, rel. 39
d = 1.543 Å, rel. 26



Diffraction record for Th2AlCo2. The PXRD pattern is theoretical, not measured: it uses a DFT-relaxed cell (PBE, Alexandria) and Cu Kα X-rays.
Peak positions follow from Bragg's law for the DFT cell and can differ from measured ones.

Structural model:
Unit cell a=7.293 b=7.293 c=7.479 alpha=90.00 beta=90.00 gamma=90.00
Sites, in units of the cell vectors:
Th (0.175, 0.325, 0.000)
Th (0.175, 0.325, 0.500)
Th (0.325, 0.825, 0.000)
Th (0.325, 0.825, 0.500)
Th (0.675, 0.175, 0.000)
Th (0.675, 0.175, 0.500)
Th (0.825, 0.675, 0.000)
Th (0.825, 0.675, 0.500)
Al (0.000, 0.000, 0.250)
Al (0.000, 0.000, 0.750)
Al (0.500, 0.500, 0.250)
Al (0.500, 0.500, 0.750)
Co (0.133, 0.633, 0.250)
Co (0.133, 0.633, 0.750)
Co (0.367, 0.133, 0.250)
Co (0.367, 0.133, 0.750)
Co (0.633, 0.867, 0.250)
Co (0.633, 0.867, 0.750)
Co (0.867, 0.367, 0.250)
Co (0.867, 0.367, 0.750)

Principal peaks in the range 2θ from 15° to 90°, sorted by position:
d = 3.739 Å, rel. 18
d = 3.646 Å, rel. 25
d = 3.261 Å, rel. 32
d = 2.611 Å, rel. 26
d = 2.458 Å, rel. 100
d = 2.306 Å, rel. 21
d = 1.769 Å, rel. 14
d = 1.599 Å, rel. 25



Diffraction record for Tb6TmIn4. The PXRD pattern is theoretical, not measured: it uses a DFT-relaxed cell (PBE, Alexandria) and Cu Kα X-rays.
Peak positions follow from Bragg's law for the DFT cell and can differ from measured ones.

Structural model:
Unit cell a=8.088 b=8.009 c=7.735 alpha=61.79 beta=60.77 gamma=57.44
Sites, in units of the cell vectors:
Tb (0.176, 0.824, 0.176)
Tb (0.281, 0.281, 0.219)
Tb (0.369, 0.773, 0.631)
Tb (0.773, 0.369, 0.227)
Tb (0.781, 0.781, 0.719)
Tb (0.824, 0.176, 0.824)
Tm (0.265, 0.265, 0.735)
In (0.016, 0.674, 0.984)
In (0.546, 0.872, 0.128)
In (0.674, 0.016, 0.326)
In (0.872, 0.546, 0.454)

Principal peaks in the range 2θ from 15° to 90°, sorted by position:
d = 3.345 Å, rel. 31
d = 3.293 Å, rel. 31
d = 3.235 Å, rel. 100
d = 2.706 Å, rel. 33
d = 2.609 Å, rel. 80
d = 2.589 Å, rel. 78
d = 2.518 Å, rel. 50
d = 2.461 Å, rel. 30



Diffraction record for CaTa2AgAs. The PXRD pattern is theoretical, not measured: it uses a DFT-relaxed cell (PBE, Alexandria) and Cu Kα X-rays.
Peak positions follow from Bragg's law for the DFT cell and can differ from measured ones.

Structural model:
Unit cell a=4.968 b=4.968 c=5.351 alpha=90.00 beta=90.00 gamma=90.00
Sites, in units of the cell vectors:
Ca (0.000, 0.000, 0.000)
Ta (0.000, 0.500, 0.500)
Ta (0.500, 0.000, 0.500)
Ag (0.000, 0.000, 0.500)
As (0.500, 0.500, 0.000)

Principal peaks in the range 2θ from 15° to 90°, sorted by position:
d = 5.351 Å, rel. 97
d = 2.937 Å, rel. 100
d = 2.675 Å, rel. 51
d = 2.484 Å, rel. 83
d = 2.253 Å, rel. 44
d = 1.820 Å, rel. 65
d = 1.756 Å, rel. 29
d = 1.468 Å, rel. 32



Diffraction record for Na3In7Pd4. The PXRD pattern is theoretical, not measured: it uses a DFT-relaxed cell (PBE, Alexandria) and Cu Kα X-rays.
Peak positions follow from Bragg's law for the DFT cell and can differ from measured ones.

Structural model:
Unit cell a=8.754 b=8.754 c=9.946 alpha=121.98 beta=121.98 gamma=30.28
Sites, in units of the cell vectors:
Na (0.000, 0.000, 0.000)
Na (0.308, 0.308, 0.302)
Na (0.692, 0.692, 0.698)
In (0.000, 0.000, 0.500)
In (0.161, 0.161, 0.426)
In (0.310, 0.310, 0.964)
In (0.499, 0.499, 0.722)
In (0.501, 0.501, 0.278)
In (0.690, 0.690, 0.036)
In (0.839, 0.839, 0.574)
Pd (0.117, 0.117, 0.833)
Pd (0.335, 0.335, 0.717)
Pd (0.665, 0.665, 0.283)
Pd (0.883, 0.883, 0.167)

Principal peaks in the range 2θ from 15° to 90°, sorted by position:
d = 4.967 Å, rel. 100
d = 4.154 Å, rel. 65
d = 2.780 Å, rel. 88
d = 2.697 Å, rel. 70
d = 2.476 Å, rel. 48
d = 2.355 Å, rel. 46
d = 2.286 Å, rel. 85
d = 2.177 Å, rel. 44



Diffraction record for Ba2Tl3Br7. The PXRD pattern is theoretical, not measured: it uses a DFT-relaxed cell (PBE, Alexandria) and Cu Kα X-rays.
Peak positions follow from Bragg's law for the DFT cell and can differ from measured ones.

Structural model:
Unit cell a=14.777 b=14.777 c=8.838 alpha=90.00 beta=90.00 gamma=32.24
Sites, in units of the cell vectors:
Ba (0.145, 0.646, 0.500)
Ba (0.354, 0.855, 0.500)
Ba (0.646, 0.145, 0.000)
Ba (0.855, 0.354, 0.000)
Tl (0.053, 0.556, 0.914)
Tl (0.268, 0.732, 0.066)
Tl (0.444, 0.947, 0.914)
Tl (0.556, 0.053, 0.414)
Tl (0.732, 0.268, 0.566)
Tl (0.947, 0.444, 0.414)
Br (0.066, 0.204, 0.691)
Br (0.098, 0.902, 0.431)
Br (0.189, 0.396, 0.560)
Br (0.204, 0.066, 0.191)
Br (0.347, 0.503, 0.819)
Br (0.396, 0.189, 0.060)
Br (0.497, 0.653, 0.819)
Br (0.503, 0.347, 0.319)
Br (0.604, 0.811, 0.560)
Br (0.653, 0.497, 0.319)
Br (0.796, 0.934, 0.691)
Br (0.811, 0.604, 0.060)
Br (0.902, 0.098, 0.931)
Br (0.934, 0.796, 0.191)

Principal peaks in the range 2θ from 15° to 90°, sorted by position:
d = 4.129 Å, rel. 100
d = 3.599 Å, rel. 24
d = 3.363 Å, rel. 26
d = 3.007 Å, rel. 29
d = 2.941 Å, rel. 30
d = 2.661 Å, rel. 42
d = 2.374 Å, rel. 72
d = 2.291 Å, rel. 27



Diffraction record for SiAsPt. The PXRD pattern is theoretical, not measured: it uses a DFT-relaxed cell (PBE, Alexandria) and Cu Kα X-rays.
Peak positions follow from Bragg's law for the DFT cell and can differ from measured ones.

Structural model:
Unit cell a=3.432 b=3.432 c=5.041 alpha=90.00 beta=90.00 gamma=120.00
Sites, in units of the cell vectors:
Si (0.000, 0.000, 0.000)
As (0.667, 0.333, 0.373)
Pt (0.333, 0.667, 0.722)

Principal peaks in the range 2θ from 15° to 90°, sorted by position:
d = 5.041 Å, rel. 34
d = 2.972 Å, rel. 28
d = 2.560 Å, rel. 100
d = 1.922 Å, rel. 42
d = 1.716 Å, rel. 24
d = 1.426 Å, rel. 16
d = 1.201 Å, rel. 14
d = 1.097 Å, rel. 15